Starting from a crystal structure in Alexandria, relaxed with PBE, the XRD peak list of Tb5Pm5Tm was computed for Cu Kα.

Crystal structure
a b c (Å): 6.1295 6.1295 11.5179
angles (deg): 90.00 90.00 120.00
Space group P-6m2 (No. 187)
Symmetry-distinct sites (fractional):
Tb 0.0000 0.0000 0.0000 x1
Tb 0.3333 0.6667 0.3161 x2
Tb 0.6667 0.3333 0.1573 x2
Pm 0.0000 0.0000 0.2628 x2
Pm 0.3397 0.1698 0.5000 x3
Tm 0.3333 0.6667 0.0000 x1

Peak list (10 most intense, 2θ = 5–70°, sorted by position)
28.70 deg, d = 3.111 Å, I 100, hkl 1 0 3; 29.14 deg, d = 3.065 Å, I 89, hkl 1 1 0; 30.18 deg, d = 2.962 Å, I 33, hkl 1 1 1; 33.11 deg, d = 2.705 Å, I 21, hkl 1 1 2; 34.68 deg, d = 2.586 Å, I 28, hkl 2 0 1; 35.47 deg, d = 2.531 Å, I 28, hkl 1 0 4; 37.55 deg, d = 2.395 Å, I 21, hkl 1 1 3; 46.54 deg, d = 1.952 Å, I 22, hkl 2 0 4; 51.39 deg, d = 1.778 Å, I 38, hkl 2 1 3; 60.41 deg, d = 1.532 Å, I 27, hkl 2 2 0



Starting from a crystal structure in Alexandria, relaxed with PBE, the XRD peak list of Cs2Cd3Au4 was computed for Cu Kα.

Crystal structure
a b c (Å): 6.823 11.985 26.302
angles (deg): 90.00 90.00 90.00
Space group Fddd (No. 70, origin choice 2)
Symmetry-distinct sites (fractional):
Cs 0.125 0.125 0.046 x16
Cd 0.125 0.125 0.357 x16
Cd 0.125 0.125 0.625 x8
Au 0.042 0.297 0.701 x32

Peak list (10 most intense, 2θ = 5–70°, sorted by position)
15.32 deg, d = 5.784 Å, I 47, hkl 1 1 1; 26.07 deg, d = 3.418 Å, I 80, hkl 1 3 1; 30.97 deg, d = 2.887 Å, I 95, hkl 1 3 5; 33.28 deg, d = 2.692 Å, I 41, hkl 2 0 6; 35.33 deg, d = 2.540 Å, I 100, hkl 1 3 7; 41.20 deg, d = 2.191 Å, I 40, hkl 0 0 12; 41.72 deg, d = 2.165 Å, I 33, hkl 3 1 3; 42.44 deg, d = 2.130 Å, I 30, hkl 2 4 4; 50.19 deg, d = 1.818 Å, I 29, hkl 0 6 6; 52.44 deg, d = 1.745 Å, I 25, hkl 1 3 13